Diffraction record for GdSbMoI2. The X-ray powder pattern is theoretical, not measured: it uses DFT lattice parameters and positions (PBE) and Cu Kα.
Lines closer than 0.1° are merged.

Cell and atoms:
abc: 4.258 4.258 10.341
angles: 90.00 90.00 120.00
Element x y z (fractional)
Gd  0.000  0.000  0.000
Sb  0.667  0.333  0.168
Mo  0.333  0.667  0.282
I  0.000  0.000  0.446
I  0.333  0.667  0.806

Peak list (12 most intense, 2θ from 10° to 80°, by angle)
2θ 24.1, I = 8, hkl 1 0 0; 2θ 25.6, I = 10, hkl 0 1 1; 2θ 29.8, I = 100, hkl 1 0 2; 2θ 35.7, I = 15, hkl 1 0 3; 2θ 42.5, I = 37, hkl 1 1 0; 2θ 42.7, I = 26, hkl 0 1 4; 2θ 50.6, I = 7, hkl 0 1 5; 2θ 52.7, I = 20, hkl 0 2 2; 2θ 61.8, I = 9, hkl 2 0 4; 2θ 69.9, I = 17, hkl 2 1 2; 2θ 70.3, I = 7, hkl 1 1 6; 2θ 77.9, I = 9, hkl 1 2 4